(1)
Simulated XRD peak list of LiHo7In4 for Cu Kα (λ = 1.5418 Å), from a DFT-relaxed cell (GGA-PBE, Alexandria).
Kinematic intensities with the Lorentz-polarization factor, no thermal factor.

Most intense lines, 2θ = 15–90°, by angle:
index  2θ/deg  intensity
1 1 0  17.87  16
1 1 -2  23.17  42
4 0 -1  26.19  19
0 2 0  32.55  67
2 0 -4  33.43  42
3 1 1  34.67  100
5 1 -3  35.81  83
2 2 -4  47.35  32
3 3 1  59.45  21
5 3 -3  60.22  20

Structural model:
Lattice parameters (Å, degrees): 14.419 5.501 11.116 90.00 127.11 90.00
Space group C2/m (No. 12)
One atom of each set of equivalent atoms:
1 Li 0.000 0.000 0.000
2 Ho 0.000 0.500 0.000
3 Ho 0.069 0.000 0.335
4 Ho 0.162 0.500 0.598
5 Ho 0.220 0.000 0.871
6 In 0.066 0.500 0.778
7 In 0.198 0.500 0.337



(2)
Simulated XRD peak list of LiHoIn2 for Cu Kα (λ = 1.5418 Å), from a DFT-relaxed cell (GGA-PBE, Alexandria).
Kinematic intensities with the Lorentz-polarization factor, no thermal factor.

Most intense lines, 2θ = 15–90°, by angle:
index  2θ/deg  intensity
1 1 1  21.29  36
2 2 0  35.12  100
3 1 1  41.44  19
4 0 0  50.51  18
3 3 1  55.41  8
4 2 2  63.01  36
5 1 1  67.32  6
4 4 0  74.23  11
5 3 1  78.25  6
6 2 0  84.85  16

Structural model:
Lattice parameters (Å, degrees): 7.227 7.227 7.227 90.00 90.00 90.00
Space group Fm-3m (No. 225)
One atom of each set of equivalent atoms:
1 Li 0.000 0.000 0.000
2 Ho 0.000 0.000 0.500
3 In 0.250 0.250 0.250



(3)
Simulated XRD peak list of LiHoIn4Pd2 for Cu Kα (λ = 1.5418 Å), from a DFT-relaxed cell (GGA-PBE, Alexandria).
Kinematic intensities with the Lorentz-polarization factor, no thermal factor.

Most intense lines, 2θ = 15–90°, by angle:
index  2θ/deg  intensity
1 0 1  22.34  13
0 1 5  27.91  33
1 0 7  32.60  13
0 1 8  35.24  96
1 1 0  38.74  100
0 1 11  44.06  11
1 0 13  50.48  11
2 0 8  53.37  29
1 2 8  67.88  27
3 0 0  70.13  17

Structural model:
Lattice parameters (Å, degrees): 4.6483 4.6483 26.3056 90.00 90.00 120.00
Space group R-3m (No. 166, hexagonal axes)
One atom of each set of equivalent atoms:
1 Li 0.0000 0.0000 0.0000
2 Ho 0.0000 0.0000 0.5000
3 In 0.0000 0.0000 0.1078
4 In 0.0000 0.0000 0.3712
5 Pd 0.0000 0.0000 0.2611



(4)
Simulated XRD peak list of LiHoIn4Se8 for Cu Kα (λ = 1.5418 Å), from a DFT-relaxed cell (GGA-PBE, Alexandria).
Kinematic intensities with the Lorentz-polarization factor, no thermal factor.

Most intense lines, 2θ = 15–90°, by angle:
index  2θ/deg  intensity
0 1 5  25.63  65
0 2 4  31.03  92
1 2 5  40.66  29
0 3 3  40.69  12
2 2 0  44.46  100
4 0 4  55.24  16
0 4 8  64.69  15
2 2 12  73.41  12
2 4 4  73.54  13
6 0 0  81.93  22

Structural model:
Lattice parameters (Å, degrees): 8.1437 8.1437 20.0049 90.00 90.00 120.00
Space group R3m (No. 160, hexagonal axes)
One atom of each set of equivalent atoms:
1 Li 0.0000 0.0000 0.0000
2 Ho 0.0000 0.0000 0.3648
3 In 0.0000 0.0000 0.7515
4 In 0.0184 0.5092 0.8778
5 Se 0.0000 0.0000 0.1315
6 Se 0.0000 0.0000 0.6149
7 Se 0.0240 0.5120 0.1281
8 Se 0.1688 0.3376 0.9541



(5)
Simulated XRD peak list of Ho6MgIn5 for Cu Kα (λ = 1.5418 Å), from a DFT-relaxed cell (GGA-PBE, Alexandria).
Kinematic intensities with the Lorentz-polarization factor, no thermal factor.

Most intense lines, 2θ = 15–90°, by angle:
index  2θ/deg  intensity
0 6 0  33.68  25
2 0 0  33.79  25
1 3 2  33.95  100
2 6 0  48.45  18
0 0 4  49.09  9
1 9 2  60.40  18
3 3 2  60.54  19
2 0 4  60.89  18
2 6 4  71.45  11
4 6 0  81.01  12

Structural model:
Lattice parameters (Å, degrees): 5.306 15.968 7.423 90.00 90.00 90.00
Space group Cmmm (No. 65)
One atom of each set of equivalent atoms:
1 Ho 0.000 0.000 0.245
2 Ho 0.000 0.332 0.251
3 Mg 0.000 0.500 0.500
4 In 0.000 0.160 0.500
5 In 0.000 0.167 0.000
6 In 0.000 0.500 0.000



(6)
Simulated XRD peak list of HoMgIn3 for Cu Kα (λ = 1.5418 Å), from a DFT-relaxed cell (GGA-PBE, Alexandria).
Kinematic intensities with the Lorentz-polarization factor, no thermal factor.

Most intense lines, 2θ = 15–90°, by angle:
index  2θ/deg  intensity
2 1 0  32.05  86
1 0 3  33.95  100
3 0 2  34.18  96
1 1 2  35.84  88
4 0 1  36.74  73
3 1 1  39.34  68
0 1 3  42.83  38
3 1 3  50.83  36
6 1 1  62.10  35
4 1 4  64.64  42

Structural model:
Lattice parameters (Å, degrees): 10.251 3.331 8.190 90.00 90.00 90.00
Space group Pmma (No. 51)
One atom of each set of equivalent atoms:
1 Ho 0.250 0.000 0.097
2 Mg 0.250 0.500 0.726
3 In 0.000 0.500 0.000
4 In 0.097 0.500 0.375



(7)
Simulated XRD peak list of Ho3Mg2In3 for Cu Kα (λ = 1.5418 Å), from a DFT-relaxed cell (GGA-PBE, Alexandria).
Kinematic intensities with the Lorentz-polarization factor, no thermal factor.

Most intense lines, 2θ = 15–90°, by angle:
index  2θ/deg  intensity
1 1 0  19.88  21
0 0 2  29.85  29
2 1 0  30.58  15
2 1 1  34.13  100
1 1 2  36.13  19
2 2 1  43.25  14
2 1 3  55.78  24
4 0 2  56.67  9
3 3 1  64.51  10
5 0 2  68.25  11

Structural model:
Lattice parameters (Å, degrees): 8.9312 8.9312 5.9865 90.00 90.00 120.00
Space group P6_3/mcm (No. 193)
One atom of each set of equivalent atoms:
1 Ho 0.0000 0.2368 0.2500
2 Mg 0.3333 0.6667 0.0000
3 In 0.0000 0.4037 0.7500



(8)
Simulated XRD peak list of Nd2HoMg2In2 for Cu Kα (λ = 1.5418 Å), from a DFT-relaxed cell (GGA-PBE, Alexandria).
Kinematic intensities with the Lorentz-polarization factor, no thermal factor.

Most intense lines, 2θ = 15–90°, by angle:
index  2θ/deg  intensity
1 0 1  20.72  65
1 0 7  31.09  82
0 1 8  33.72  88
1 1 0  35.82  100
0 2 7  48.15  24
2 0 8  50.02  29
2 1 7  61.44  23
1 2 8  63.04  28
1 1 15  63.84  33
3 0 0  64.37  18

Structural model:
Lattice parameters (Å, degrees): 5.0136 5.0136 26.8890 90.00 90.00 120.00
Space group R-3m (No. 166, hexagonal axes)
One atom of each set of equivalent atoms:
1 Nd 0.0000 0.0000 0.1284
2 Ho 0.0000 0.0000 0.0000
3 Mg 0.0000 0.0000 0.3952
4 In 0.0000 0.0000 0.2660



(9)
Simulated XRD peak list of HoMgSc2In4 for Cu Kα (λ = 1.5418 Å), from a DFT-relaxed cell (GGA-PBE, Alexandria).
Kinematic intensities with the Lorentz-polarization factor, no thermal factor.

Most intense lines, 2θ = 15–90°, by angle:
index  2θ/deg  intensity
1 0 1  20.50  12
1 0 4  24.60  16
0 1 8  34.76  100
1 1 0  35.37  96
2 0 8  50.43  34
1 0 16  61.93  17
1 2 8  63.10  34
3 0 0  63.49  18
2 1 16  84.17  14
3 1 8  85.22  14

Structural model:
Lattice parameters (Å, degrees): 5.0759 5.0759 25.5022 90.00 90.00 120.00
Space group R-3m (No. 166, hexagonal axes)
One atom of each set of equivalent atoms:
1 Ho 0.0000 0.0000 0.0000
2 Mg 0.0000 0.0000 0.5000
3 Sc 0.0000 0.0000 0.2464
4 In 0.0000 0.0000 0.1258
5 In 0.0000 0.0000 0.3777



(10)
Simulated XRD peak list of HoTmMgIn for Cu Kα (λ = 1.5418 Å), from a DFT-relaxed cell (GGA-PBE, Alexandria).
Kinematic intensities with the Lorentz-polarization factor, no thermal factor.

Most intense lines, 2θ = 15–90°, by angle:
index  2θ/deg  intensity
1 1 1  20.65  9
2 0 0  23.89  19
2 2 0  34.04  100
3 1 1  40.14  5
2 2 2  42.01  6
4 0 0  48.90  18
4 2 0  55.13  8
4 2 2  60.92  37
4 4 0  71.66  11
6 2 0  81.76  16

Structural model:
Lattice parameters (Å, degrees): 7.450 7.450 7.450 90.00 90.00 90.00
Space group F-43m (No. 216)
One atom of each set of equivalent atoms:
1 Ho 0.000 0.000 0.000
2 Tm 0.000 0.000 0.500
3 Mg 0.250 0.250 0.250
4 In 0.250 0.250 0.750



(11)
Simulated XRD peak list of YHoMnIn for Cu Kα (λ = 1.5418 Å), from a DFT-relaxed cell (GGA-PBE, Alexandria).
Kinematic intensities with the Lorentz-polarization factor, no thermal factor.

Most intense lines, 2θ = 15–90°, by angle:
index  2θ/deg  intensity
1 1 1  20.94  11
2 0 0  24.23  4
2 2 0  34.53  100
3 1 1  40.73  6
4 0 0  49.63  18
3 3 1  54.43  3
4 2 2  61.86  36
4 4 0  72.81  11
5 3 1  76.74  2
6 2 0  83.14  15

Structural model:
Lattice parameters (Å, degrees): 7.348 7.348 7.348 90.00 90.00 90.00
Space group F-43m (No. 216)
One atom of each set of equivalent atoms:
1 Y 0.000 0.000 0.000
2 Ho 0.000 0.000 0.500
3 Mn 0.250 0.250 0.250
4 In 0.250 0.250 0.750



(12)
Simulated XRD peak list of NaHo5In6 for Cu Kα (λ = 1.5418 Å), from a DFT-relaxed cell (GGA-PBE, Alexandria).
Kinematic intensities with the Lorentz-polarization factor, no thermal factor.

Most intense lines, 2θ = 15–90°, by angle:
index  2θ/deg  intensity
0 0 3  33.77  20
2 0 -1  33.91  100
2 0 2  48.64  14
0 4 0  48.77  7
1 2 4  60.50  15
3 2 0  60.67  15
3 2 -3  60.75  15
2 4 2  71.35  9
4 0 1  81.35  5
4 0 -5  81.47  8

Structural model:
Lattice parameters (Å, degrees): 5.281 7.469 8.385 90.00 108.28 90.00
Space group P2/m (No. 10)
One atom of each set of equivalent atoms:
1 Na 0.000 0.000 0.000
2 Ho 0.000 0.500 0.000
3 Ho 0.335 0.000 0.670
4 Ho 0.337 0.500 0.673
5 In 0.166 0.249 0.332
6 In 0.500 0.243 0.000



(13)
Simulated XRD peak list of Na4Ho3InSe8 for Cu Kα (λ = 1.5418 Å), from a DFT-relaxed cell (GGA-PBE, Alexandria).
Kinematic intensities with the Lorentz-polarization factor, no thermal factor.

Most intense lines, 2θ = 15–90°, by angle:
index  2θ/deg  intensity
0 2 1  25.41  20
0 2 4  30.32  100
0 2 7  39.18  14
2 0 8  42.68  37
2 2 0  44.12  36
2 2 3  46.06  13
4 0 4  54.47  19
2 2 12  70.51  15
2 4 4  72.60  16
4 2 8  80.16  11

Structural model:
Lattice parameters (Å, degrees): 8.2102 8.2102 21.1044 90.00 90.00 120.00
Space group R-3m (No. 166, hexagonal axes)
One atom of each set of equivalent atoms:
1 Na 0.0000 0.0000 0.0000
2 Na 0.0000 0.5000 0.0000
3 Ho 0.0000 0.5000 0.5000
4 In 0.0000 0.0000 0.5000
5 Se 0.0000 0.0000 0.2426
6 Se 0.0045 0.5022 0.2425



(14)
Simulated XRD peak list of Nd7Ho2In2 for Cu Kα (λ = 1.5418 Å), from a DFT-relaxed cell (GGA-PBE, Alexandria).
Kinematic intensities with the Lorentz-polarization factor, no thermal factor.

Most intense lines, 2θ = 15–90°, by angle:
index  2θ/deg  intensity
0 5 1  26.28  61
1 1 2  29.32  95
0 0 4  31.64  78
1 4 1  32.51  100
1 3 2  32.67  80
0 6 2  34.17  66
1 2 3  35.50  30
1 4 3  39.75  39
2 0 0  49.36  30
1 9 4  62.66  28

Structural model:
Lattice parameters (Å, degrees): 3.693 17.772 11.310 90.00 90.00 90.00
Space group Imm2 (No. 44)
One atom of each set of equivalent atoms:
1 Nd 0.000 0.000 0.000
2 Nd 0.000 0.105 0.562
3 Nd 0.000 0.322 0.311
4 Nd 0.000 0.350 0.782
5 Ho 0.000 0.225 0.049
6 In 0.000 0.000 0.306
7 In 0.000 0.500 0.257